# 1
Calculated XRD peak list of LaAgAs2 for Cu Kα, from DFT lattice parameters and positions (GGA-PBE).
Lines closer than 0.1° are merged.

Most intense lines, 2θ = 5–70°, by angle:
2θ (°), I/Imax, h k l
8.23, 34, 0 2 0
22.90, 20, 1 2 1
27.09, 24, 1 4 1
32.99, 25, 1 6 1
33.37, 35, 0 8 0
34.67, 97, 2 4 0
34.80, 100, 0 4 2
43.44, 61, 2 0 2
47.63, 19, 1 10 1
55.87, 32, 2 8 2

Crystal structure
Cell: 5.9062 21.4779 5.8781 Å, 90.00 90.00 90.00°
Space group Pbcm (No. 57)
Symmetry-distinct sites (fractional):
La 0.0144 0.1144 0.2500 (multiplicity 4)
La 0.4836 0.6194 0.7500 (multiplicity 4)
Ag 0.2316 0.7500 0.0000 (multiplicity 4)
Ag 0.2649 0.2500 0.0000 (multiplicity 4)
As 0.0166 0.1627 0.7500 (multiplicity 4)
As 0.2825 0.0015 0.5311 (multiplicity 8)
As 0.4841 0.6637 0.2500 (multiplicity 4)

***

# 2
Calculated XRD peak list of MgAgAsO5 for Cu Kα, from DFT lattice parameters and positions (GGA-PBE).
Lines closer than 0.1° are merged.

Most intense lines, 2θ = 5–70°, by angle:
2θ (°), I/Imax, h k l
14.71, 100, 0 1 1
20.61, 34, 1 1 1
22.22, 29, 0 1 2
22.44, 47, 0 2 0
26.74, 43, 1 2 0
29.66, 48, 0 2 2
31.07, 96, 0 1 3
32.62, 73, 2 1 1
41.94, 59, 2 2 2
54.54, 34, 2 3 3

Crystal structure
Cell: 6.1673 7.9251 9.2696 Å, 90.00 90.00 90.00°
Space group P2_12_12_1 (No. 19)
Symmetry-distinct sites (fractional):
Mg 0.1073 0.1784 0.3167 (multiplicity 4)
Ag 0.2416 0.2484 0.9910 (multiplicity 4)
As 0.0600 0.1085 0.6486 (multiplicity 4)
O 0.0063 0.6432 0.3907 (multiplicity 4)
O 0.0064 0.9341 0.5295 (multiplicity 4)
O 0.1369 0.2531 0.5235 (multiplicity 4)
O 0.1646 0.6574 0.7534 (multiplicity 4)
O 0.2314 0.9429 0.2637 (multiplicity 4)

***

# 3
Calculated XRD peak list of Ag2As3S6N for Cu Kα, from DFT lattice parameters and positions (GGA-PBE).
Lines closer than 0.1° are merged.

Most intense lines, 2θ = 5–70°, by angle:
2θ (°), I/Imax, h k l
10.47, 35, 0 0 2
10.59, 63, 1 0 -2
16.03, 100, 0 1 2
19.92, 38, 0 1 3
25.00, 31, 0 2 1
25.85, 55, 1 1 3
26.65, 60, 1 2 -2
29.13, 78, 0 1 5
30.10, 61, 3 1 -3
32.17, 47, 3 1 -5

Crystal structure
Cell: 9.7546 7.2884 19.3045 Å, 90.00 118.93 90.00°
Space group P2_1/c (No. 14)
Symmetry-distinct sites (fractional):
Ag 0.1249 0.0353 0.1002 (multiplicity 4)
Ag 0.1582 0.5193 0.9990 (multiplicity 4)
As 0.1676 0.6538 0.3524 (multiplicity 4)
As 0.2942 0.6160 0.2208 (multiplicity 4)
As 0.4526 0.0994 0.0848 (multiplicity 4)
S 0.0084 0.1957 0.6271 (multiplicity 4)
S 0.1191 0.6954 0.7353 (multiplicity 4)
S 0.2041 0.1873 0.9974 (multiplicity 4)
S 0.2652 0.7489 0.1095 (multiplicity 4)
S 0.3941 0.7127 0.9496 (multiplicity 4)
S 0.4712 0.2427 0.6919 (multiplicity 4)
N 0.3228 0.1930 0.3350 (multiplicity 4)

***

# 4
Calculated XRD peak list of Ag2AsS4N for Cu Kα, from DFT lattice parameters and positions (GGA-PBE).
Lines closer than 0.1° are merged.

Most intense lines, 2θ = 5–70°, by angle:
2θ (°), I/Imax, h k l
17.03, 23, 1 0 1
19.29, 16, 1 1 0
20.46, 10, 0 0 2
27.41, 19, 2 0 0
28.26, 100, 1 1 2
39.16, 30, 2 2 0
48.99, 39, 3 1 2
50.55, 29, 2 0 4
56.57, 8, 4 0 0
67.91, 10, 1 1 6

Crystal structure
Cell: 6.5071 6.5071 8.6829 Å, 90.00 90.00 90.00°
Space group I-42m (No. 121)
Symmetry-distinct sites (fractional):
Ag 0.0000 0.5000 0.2500 (multiplicity 4)
As 0.0000 0.0000 0.0000 (multiplicity 2)
S 0.2056 0.2056 0.8675 (multiplicity 8)
N 0.0000 0.0000 0.5000 (multiplicity 2)

***

# 5
Calculated XRD peak list of NdAgAs2 for Cu Kα, from DFT lattice parameters and positions (GGA-PBE).
Lines closer than 0.1° are merged.

Most intense lines, 2θ = 5–70°, by angle:
2θ (°), I/Imax, h k l
8.31, 13, 2 0 0
33.44, 12, 6 0 1
33.69, 19, 8 0 0
35.33, 100, 4 1 1
40.45, 10, 8 0 1
44.16, 14, 0 0 2
44.44, 17, 0 2 0
48.21, 8, 10 1 0
56.68, 10, 8 0 2
64.45, 9, 0 2 2

Crystal structure
Cell: 21.2820 4.0765 4.1019 Å, 90.00 90.00 90.00°
Space group Pnma (No. 62)
Symmetry-distinct sites (fractional):
Nd 0.1155 0.2500 0.2273 (multiplicity 4)
Ag 0.2501 0.2500 0.7261 (multiplicity 4)
As 0.0015 0.2500 0.7041 (multiplicity 4)
As 0.1603 0.7500 0.7265 (multiplicity 4)

***

# 6
Calculated XRD peak list of NdAgAs2 for Cu Kα, from DFT lattice parameters and positions (GGA-PBE).
Lines closer than 0.1° are merged.

Most intense lines, 2θ = 5–70°, by angle:
2θ (°), I/Imax, h k l
8.29, 13, 0 0 1
23.42, 11, 1 0 1
27.59, 13, 1 0 2
33.49, 11, 1 0 3
33.63, 18, 0 0 4
35.48, 100, 1 1 2
40.47, 10, 1 0 4
44.57, 31, 2 0 0
56.95, 20, 2 0 4
64.86, 10, 2 2 0

Crystal structure
Cell: 4.0659 4.0659 10.6599 Å, 90.00 90.00 90.00°
Space group P4/nmm (No. 129, origin choice 2)
Symmetry-distinct sites (fractional):
Nd 0.2500 0.2500 0.2294 (multiplicity 2)
Ag 0.2500 0.7500 0.5000 (multiplicity 2)
As 0.2500 0.2500 0.6788 (multiplicity 2)
As 0.2500 0.7500 0.0000 (multiplicity 2)

***

# 7
Calculated XRD peak list of Ag2AsO2 for Cu Kα, from DFT lattice parameters and positions (GGA-PBE).
Lines closer than 0.1° are merged.

Most intense lines, 2θ = 5–70°, by angle:
2θ (°), I/Imax, h k l
19.21, 100, 0 0 4
25.06, 26, 2 2 2
26.25, 11, 1 3 1
26.41, 12, 3 1 1
35.31, 15, 3 3 1
37.99, 12, 3 3 3
38.27, 15, 0 4 4
38.50, 14, 4 0 4
38.99, 14, 0 0 8
51.44, 12, 4 4 4

Crystal structure
Cell: 10.8448 10.9298 18.4783 Å, 90.00 90.00 90.00°
Space group Fddd (No. 70, origin choice 2)
Symmetry-distinct sites (fractional):
Ag 0.0319 0.0295 0.2501 (multiplicity 32)
As 0.0000 0.0000 0.5000 (multiplicity 16)
O 0.1215 0.3699 0.7791 (multiplicity 32)

***

# 8
Calculated XRD peak list of AgAsO3 for Cu Kα, from DFT lattice parameters and positions (GGA-PBE).
Lines closer than 0.1° are merged.

Most intense lines, 2θ = 5–70°, by angle:
2θ (°), I/Imax, h k l
22.95, 45, 0 1 2
29.17, 100, 1 0 4
31.01, 19, 0 0 6
35.89, 79, 1 1 0
42.07, 14, 1 0 7
46.90, 29, 0 2 4
48.15, 66, 1 1 6
57.34, 15, 1 0 10
60.43, 25, 2 1 4
64.50, 23, 3 0 0

Crystal structure
Cell: 5.0047 5.0047 17.3010 Å, 90.00 90.00 120.00°
Space group R-3 (No. 148, hexagonal axes)
Symmetry-distinct sites (fractional):
Ag 0.0000 0.0000 0.1439 (multiplicity 6)
As 0.0000 0.0000 0.3357 (multiplicity 6)
O 0.0039 0.3875 0.9386 (multiplicity 18)

***

# 9
Calculated XRD peak list of Ag2As2O7 for Cu Kα, from DFT lattice parameters and positions (GGA-PBE).
Lines closer than 0.1° are merged.

Most intense lines, 2θ = 5–70°, by angle:
2θ (°), I/Imax, h k l
16.06, 33, 1 1 -1
25.88, 100, 0 4 0
26.07, 23, 0 1 2
28.42, 67, 0 2 2
30.39, 19, 2 1 -2
32.46, 37, 2 2 -2
33.27, 17, 2 1 0
35.19, 18, 2 2 0
38.66, 16, 1 3 -3
49.62, 24, 1 1 3

Crystal structure
Cell: 6.3303 13.7623 8.1348 Å, 90.00 119.82 90.00°
Space group P2_1/c (No. 14)
Symmetry-distinct sites (fractional):
Ag 0.0580 0.0202 0.3234 (multiplicity 4)
Ag 0.1522 0.7411 0.0650 (multiplicity 4)
As 0.3606 0.1973 0.9478 (multiplicity 4)
As 0.5001 0.0024 0.1822 (multiplicity 4)
O 0.1014 0.2330 0.3358 (multiplicity 4)
O 0.2204 0.5459 0.1025 (multiplicity 4)
O 0.3049 0.5414 0.4321 (multiplicity 4)
O 0.3224 0.5407 0.7764 (multiplicity 4)
O 0.3436 0.1252 0.7637 (multiplicity 4)
O 0.3446 0.1264 0.1217 (multiplicity 4)
O 0.3759 0.7367 0.9399 (multiplicity 4)

***

# 10
Calculated XRD peak list of Ag3As2O8 for Cu Kα, from DFT lattice parameters and positions (GGA-PBE).
Lines closer than 0.1° are merged.

Most intense lines, 2θ = 5–70°, by angle:
2θ (°), I/Imax, h k l
14.85, 44, 1 0 1
21.38, 100, 1 1 0
25.04, 35, 0 0 3
33.16, 65, 2 -1 3
34.01, 57, 3 -1 1
35.91, 28, 1 0 4
37.10, 74, 3 -2 2
37.48, 30, 3 0 0
56.28, 31, 2 -1 6
58.51, 28, 2 3 2

Crystal structure
Cell: 8.3114 8.3114 10.6675 Å, 90.00 90.00 120.00°
Space group R3 (No. 146, hexagonal axes)
Symmetry-distinct sites (fractional):
Ag 0.0029 0.7454 0.0000 (multiplicity 9)
As 0.0000 0.0000 0.2423 (multiplicity 3)
As 0.0000 0.0000 0.7469 (multiplicity 3)
O 0.0000 0.0000 0.0685 (multiplicity 3)
O 0.0000 0.0000 0.5910 (multiplicity 3)
O 0.0783 0.8551 0.8109 (multiplicity 9)
O 0.1028 0.5582 0.9483 (multiplicity 9)